Entry 1:
Starting from a crystal structure in Alexandria, relaxed with PBE, the powder diffractogram of VNi3Mo was calculated for λ = 1.5418 Å (Cu Kα).

Structural model:
Unit cell a=14.462 b=4.160 c=4.393 alpha=90.00 beta=98.13 gamma=90.00
Space group C2/m (No. 12)
Symmetry-distinct sites (fractional):
1 V 0.129 0.000 0.365 (multiplicity 4)
2 Ni 0.033 0.000 0.765 (multiplicity 4)
3 Ni 0.198 0.500 0.548 (multiplicity 4)
4 Ni 0.214 0.000 0.896 (multiplicity 4)
5 Mo 0.101 0.500 0.981 (multiplicity 4)

Largest 6 diffraction maxima, in order of rising 2θ, 10 to 90 degrees two-theta:
2θ 40.47, d 2.229, I 44, hkl 6 0 -1
2θ 43.50, d 2.080, I 62, hkl 0 2 0
2θ 45.85, d 1.979, I 100, hkl 5 1 1
2θ 46.77, d 1.942, I 65, hkl 1 1 -2
2θ 51.53, d 1.774, I 22, hkl 7 1 -1
2θ 60.91, d 1.521, I 24, hkl 6 2 -1

Entry 2:
Starting from a crystal structure in Alexandria, relaxed with PBE, the powder diffractogram of Pm3Rh2Pb3 was calculated for λ = 1.5418 Å (Cu Kα).

Structural model:
Unit cell a=8.633 b=15.865 c=5.995 alpha=90.00 beta=90.00 gamma=90.00
Space group Pnma (No. 62)
Symmetry-distinct sites (fractional):
1 Pm 0.028 0.113 0.114 (multiplicity 8)
2 Pm 0.165 0.250 0.639 (multiplicity 4)
3 Rh 0.083 0.616 0.362 (multiplicity 8)
4 Pb 0.187 0.750 0.632 (multiplicity 4)
5 Pb 0.192 0.032 0.613 (multiplicity 8)

Largest 6 diffraction maxima, in order of rising 2θ, 10 to 90 degrees two-theta:
2θ 30.61, d 2.920, I 100, hkl 2 4 0
2θ 31.59, d 2.832, I 49, hkl 1 0 2
2θ 34.15, d 2.626, I 55, hkl 2 4 1
2θ 34.58, d 2.594, I 46, hkl 3 0 1
2θ 35.97, d 2.496, I 40, hkl 1 3 2
2θ 39.08, d 2.305, I 54, hkl 1 4 2

Entry 3:
Starting from a crystal structure in Alexandria, relaxed with PBE, the powder diffractogram of PmPaRuN4 was calculated for λ = 1.5418 Å (Cu Kα).

Structural model:
Unit cell a=3.873 b=3.873 c=12.220 alpha=90.00 beta=90.00 gamma=90.00
Space group I4mm (No. 107)
Symmetry-distinct sites (fractional):
1 Pm 0.000 0.000 0.000 (multiplicity 2)
2 Pa 0.000 0.000 0.715 (multiplicity 2)
3 Ru 0.000 0.000 0.354 (multiplicity 2)
4 N 0.000 0.000 0.183 (multiplicity 2)
5 N 0.000 0.000 0.540 (multiplicity 2)
6 N 0.000 0.500 0.344 (multiplicity 4)

Largest 6 diffraction maxima, in order of rising 2θ, 10 to 90 degrees two-theta:
2θ 24.11, d 3.692, I 20, hkl 1 0 1
2θ 31.89, d 2.807, I 100, hkl 1 0 3
2θ 32.70, d 2.738, I 63, hkl 1 1 0
2θ 44.45, d 2.038, I 25, hkl 0 0 6
2θ 46.92, d 1.936, I 28, hkl 2 0 0
2θ 57.87, d 1.593, I 47, hkl 2 1 3

Entry 4:
Starting from a crystal structure in Alexandria, relaxed with PBE, the powder diffractogram of Li4DyPa3Se8 was calculated for λ = 1.5418 Å (Cu Kα).

Structural model:
Unit cell a=8.0052 b=8.0052 c=20.0383 alpha=90.00 beta=90.00 gamma=120.00
Space group R-3m (No. 166, hexagonal axes)
Symmetry-distinct sites (fractional):
1 Li 0.0000 0.0000 0.0000 (multiplicity 3)
2 Li 0.0000 0.5000 0.0000 (multiplicity 9)
3 Dy 0.0000 0.0000 0.5000 (multiplicity 3)
4 Pa 0.0000 0.5000 0.5000 (multiplicity 9)
5 Se 0.0000 0.0000 0.2554 (multiplicity 6)
6 Se 0.0021 0.5010 0.2536 (multiplicity 18)

Largest 6 diffraction maxima, in order of rising 2θ, 10 to 90 degrees two-theta:
2θ 13.26, d 6.679, I 65, hkl 0 0 3
2θ 26.09, d 3.416, I 49, hkl 0 2 1
2θ 31.38, d 2.850, I 100, hkl 0 2 4
2θ 34.20, d 2.622, I 29, hkl 2 0 5
2θ 44.63, d 2.030, I 37, hkl 2 0 8
2θ 45.31, d 2.001, I 37, hkl 2 2 0

Entry 5:
Starting from a crystal structure in Alexandria, relaxed with PBE, the powder diffractogram of ErBIrRh was calculated for λ = 1.5418 Å (Cu Kα).

Structural model:
Unit cell a=3.607 b=3.897 c=9.080 alpha=90.00 beta=90.00 gamma=90.00
Space group Imm2 (No. 44)
Symmetry-distinct sites (fractional):
1 Er 0.000 0.000 0.000 (multiplicity 2)
2 B 0.000 0.500 0.253 (multiplicity 2)
3 Ir 0.000 0.000 0.644 (multiplicity 2)
4 Rh 0.000 0.000 0.351 (multiplicity 2)

Largest 6 diffraction maxima, in order of rising 2θ, 10 to 90 degrees two-theta:
2θ 33.87, d 2.647, I 100, hkl 1 1 0
2θ 37.63, d 2.390, I 71, hkl 0 1 3
2θ 38.84, d 2.318, I 65, hkl 1 0 3
2θ 46.62, d 1.948, I 22, hkl 0 2 0
2θ 62.24, d 1.492, I 33, hkl 1 2 3
2θ 64.76, d 1.440, I 29, hkl 2 1 3

Entry 6:
Starting from a crystal structure in Alexandria, relaxed with PBE, the powder diffractogram of Ce2SmErTe5 was calculated for λ = 1.5418 Å (Cu Kα).

Structural model:
Unit cell a=5.479 b=5.479 c=11.682 alpha=90.00 beta=90.00 gamma=90.00
Space group P4/mmm (No. 123)
Symmetry-distinct sites (fractional):
1 Ce 0.000 0.000 0.179 (multiplicity 2)
2 Sm 0.500 0.500 0.500 (multiplicity 1)
3 Er 0.500 0.500 0.000 (multiplicity 1)
4 Te 0.000 0.000 0.500 (multiplicity 1)
5 Te 0.000 0.500 0.000 (multiplicity 2)
6 Te 0.500 0.500 0.252 (multiplicity 2)

Largest 6 diffraction maxima, in order of rising 2θ, 10 to 90 degrees two-theta:
2θ 22.96, d 3.874, I 56, hkl 1 1 0
2θ 28.11, d 3.174, I 23, hkl 1 0 3
2θ 30.61, d 2.920, I 20, hkl 0 0 4
2θ 32.66, d 2.742, I 100, hkl 2 0 0
2θ 45.39, d 1.998, I 28, hkl 2 0 4
2θ 46.91, d 1.937, I 24, hkl 2 2 0

Entry 7:
Starting from a crystal structure in Alexandria, relaxed with PBE, the powder diffractogram of Ac2Si2Pd5 was calculated for λ = 1.5418 Å (Cu Kα).

Structural model:
Unit cell a=4.461 b=4.461 c=8.989 alpha=90.00 beta=90.00 gamma=90.00
Space group P4/mmm (No. 123)
Symmetry-distinct sites (fractional):
1 Ac 0.000 0.000 0.000 (multiplicity 1)
2 Ac 0.000 0.000 0.500 (multiplicity 1)
3 Si 0.500 0.500 0.143 (multiplicity 2)
4 Pd 0.000 0.500 0.265 (multiplicity 4)
5 Pd 0.500 0.500 0.500 (multiplicity 1)

Largest 6 diffraction maxima, in order of rising 2θ, 10 to 90 degrees two-theta:
2θ 19.90, d 4.461, I 15, hkl 1 0 0
2θ 28.18, d 3.166, I 22, hkl 1 0 2
2θ 34.74, d 2.582, I 100, hkl 1 1 2
2θ 40.44, d 2.231, I 38, hkl 2 0 0
2θ 58.28, d 1.583, I 20, hkl 2 0 4
2θ 69.88, d 1.346, I 26, hkl 3 1 2

Entry 8:
Starting from a crystal structure in Alexandria, relaxed with PBE, the powder diffractogram of Tm2Ga8Ag was calculated for λ = 1.5418 Å (Cu Kα).

Structural model:
Unit cell a=4.336 b=4.336 c=11.330 alpha=90.00 beta=90.00 gamma=90.00
Space group P4/mmm (No. 123)
Symmetry-distinct sites (fractional):
1 Tm 0.000 0.000 0.185 (multiplicity 2)
2 Ga 0.000 0.500 0.000 (multiplicity 2)
3 Ga 0.000 0.500 0.363 (multiplicity 4)
4 Ga 0.500 0.500 0.188 (multiplicity 2)
5 Ag 0.000 0.000 0.500 (multiplicity 1)

Largest 6 diffraction maxima, in order of rising 2θ, 10 to 90 degrees two-theta:
2θ 20.48, d 4.336, I 23, hkl 1 0 0
2θ 31.41, d 2.848, I 15, hkl 1 0 3
2θ 33.23, d 2.696, I 16, hkl 1 1 2
2θ 37.79, d 2.380, I 100, hkl 1 1 3
2θ 41.66, d 2.168, I 44, hkl 2 0 0
2θ 73.47, d 1.289, I 27, hkl 3 1 3

Entry 9:
Starting from a crystal structure in Alexandria, relaxed with PBE, the powder diffractogram of Al2Te4P was calculated for λ = 1.5418 Å (Cu Kα).

Structural model:
Unit cell a=7.739 b=7.739 c=6.757 alpha=90.00 beta=90.00 gamma=90.00
Space group P4/nbm (No. 125, origin choice 2)
Symmetry-distinct sites (fractional):
1 Al 0.250 0.750 0.000 (multiplicity 2)
2 Al 0.250 0.750 0.500 (multiplicity 2)
3 Te 0.061 0.561 0.238 (multiplicity 8)
4 P 0.250 0.250 0.000 (multiplicity 2)

Largest 6 diffraction maxima, in order of rising 2θ, 10 to 90 degrees two-theta:
2θ 22.98, d 3.870, I 33, hkl 2 0 0
2θ 26.38, d 3.379, I 26, hkl 0 0 2
2θ 28.99, d 3.081, I 100, hkl 2 1 1
2θ 35.26, d 2.545, I 57, hkl 2 0 2
2θ 48.20, d 1.888, I 23, hkl 2 1 3
2θ 50.46, d 1.809, I 44, hkl 4 1 1